Li5La2Al5: theoretical XRD peak list (Cu Kα, 1.54184 Å), based on a crystal structure in Alexandria, relaxed with PBE.
Neutral-atom scattering factors, no anomalous dispersion.

Peak list (6 most intense, 10° ≤ 2θ ≤ 90°, in order of rising 2θ)
2θ 18.49, I = 606
2θ 27.30, I = 1000
2θ 32.25, I = 152
2θ 37.53, I = 239
2θ 38.20, I = 298
2θ 38.33, I = 190

Structure:
```
data_Li5La2Al5
_chemical_formula_sum 'Li5 La2 Al5'
_symmetry_space_group_name_H-M 'P 1'
_symmetry_Int_Tables_number 1
_cell_length_a 4.4555
_cell_length_b 5.5265
_cell_length_c 9.6320
_cell_angle_alpha 90.00
_cell_angle_beta 90.00
_cell_angle_gamma 90.00
loop_
_symmetry_equiv_pos_as_xyz
'x,y,z'
loop_
_atom_site_label
_atom_site_fract_x
_atom_site_fract_y
_atom_site_fract_z
Li1 0.0000 0.0000 0.0000
Li2 0.5000 0.0000 0.1703
Li3 0.5000 0.0000 0.8297
Li4 0.5000 0.5000 0.3336
Li5 0.5000 0.5000 0.6664
La1 0.5000 0.0000 0.5000
La2 0.5000 0.5000 0.0000
Al1 0.0000 0.2501 0.2506
Al2 0.0000 0.2501 0.7494
Al3 0.0000 0.5000 0.5000
Al4 0.0000 0.7499 0.2506
Al5 0.0000 0.7499 0.7494
```

---

Nb2IrPd2: theoretical XRD peak list (Cu Kα, 1.54184 Å), based on a crystal structure in Alexandria, relaxed with PBE.
Neutral-atom scattering factors, no anomalous dispersion.

Peak list (6 most intense, 10° ≤ 2θ ≤ 90°, in order of rising 2θ)
2θ 38.77, I = 1000
2θ 39.11, I = 978
2θ 44.62, I = 669
2θ 46.55, I = 296
2θ 66.46, I = 402
2θ 78.06, I = 251

Structure:
```
data_Nb2IrPd2
_chemical_formula_sum 'Nb2 Ir1 Pd2'
_symmetry_space_group_name_H-M 'P 1'
_symmetry_Int_Tables_number 1
_cell_length_a 7.6202
_cell_length_b 7.6202
_cell_length_c 7.6202
_cell_angle_alpha 158.42
_cell_angle_beta 150.33
_cell_angle_gamma 36.98
loop_
_symmetry_equiv_pos_as_xyz
'x,y,z'
loop_
_atom_site_label
_atom_site_fract_x
_atom_site_fract_y
_atom_site_fract_z
Nb1 0.1030 0.1030 0.0000
Nb2 0.8970 0.8970 0.0000
Ir1 0.5000 0.5000 0.0000
Pd1 0.3003 0.3003 0.0000
Pd2 0.6997 0.6997 0.0000
```

---

CaLuPdPt: theoretical XRD peak list (Cu Kα, 1.54184 Å), based on a crystal structure in Alexandria, relaxed with PBE.
Neutral-atom scattering factors, no anomalous dispersion.

Peak list (6 most intense, 10° ≤ 2θ ≤ 90°, in order of rising 2θ)
2θ 22.30, I = 209
2θ 36.81, I = 1000
2θ 43.46, I = 117
2θ 53.04, I = 175
2θ 66.31, I = 355
2θ 89.82, I = 164

Structure:
```
data_CaLuPdPt
_chemical_formula_sum 'Ca1 Lu1 Pd1 Pt1'
_symmetry_space_group_name_H-M 'P 1'
_symmetry_Int_Tables_number 1
_cell_length_a 4.8832
_cell_length_b 4.8832
_cell_length_c 4.8832
_cell_angle_alpha 60.00
_cell_angle_beta 60.00
_cell_angle_gamma 60.00
loop_
_symmetry_equiv_pos_as_xyz
'x,y,z'
loop_
_atom_site_label
_atom_site_fract_x
_atom_site_fract_y
_atom_site_fract_z
Ca1 0.0000 0.0000 0.0000
Lu1 0.5000 0.5000 0.5000
Pd1 0.7500 0.7500 0.7500
Pt1 0.2500 0.2500 0.2500
```

---

Tm3Ga2Ru2: theoretical XRD peak list (Cu Kα, 1.54184 Å), based on a crystal structure in Alexandria, relaxed with PBE.
Neutral-atom scattering factors, no anomalous dispersion.

Peak list (6 most intense, 10° ≤ 2θ ≤ 90°, in order of rising 2θ)
2θ 32.69, I = 590
2θ 34.70, I = 559
2θ 34.88, I = 617
2θ 35.27, I = 823
2θ 39.77, I = 732
2θ 39.90, I = 1000

Structure:
```
data_Tm3Ga2Ru2
_chemical_formula_sum 'Tm12 Ga8 Ru8'
_symmetry_space_group_name_H-M 'P 1'
_symmetry_Int_Tables_number 1
_cell_length_a 5.5129
_cell_length_b 7.4587
_cell_length_c 13.9366
_cell_angle_alpha 90.00
_cell_angle_beta 90.00
_cell_angle_gamma 90.00
loop_
_symmetry_equiv_pos_as_xyz
'x,y,z'
loop_
_atom_site_label
_atom_site_fract_x
_atom_site_fract_y
_atom_site_fract_z
Tm1 0.1139 0.2361 0.2500
Tm2 0.1139 0.2639 0.7500
Tm3 0.3489 0.5998 0.0949
Tm4 0.3489 0.5998 0.4051
Tm5 0.3489 0.9002 0.5949
Tm6 0.3489 0.9002 0.9051
Tm7 0.6511 0.0998 0.0949
Tm8 0.6511 0.0998 0.4051
Tm9 0.6511 0.4002 0.5949
Tm10 0.6511 0.4002 0.9051
Tm11 0.8861 0.7361 0.2500
Tm12 0.8861 0.7639 0.7500
Ga1 0.1411 0.2500 0.0000
Ga2 0.1411 0.2500 0.5000
Ga3 0.3829 0.6062 0.7500
Ga4 0.3829 0.8938 0.2500
Ga5 0.6171 0.1062 0.7500
Ga6 0.6171 0.3938 0.2500
Ga7 0.8589 0.7500 0.0000
Ga8 0.8589 0.7500 0.5000
Ru1 0.1470 0.5398 0.5948
Ru2 0.1470 0.5398 0.9052
Ru3 0.1470 0.9602 0.0948
Ru4 0.1470 0.9602 0.4052
Ru5 0.8530 0.0398 0.5948
Ru6 0.8530 0.0398 0.9052
Ru7 0.8530 0.4602 0.0948
Ru8 0.8530 0.4602 0.4052
```